The following is a theoretical powder X-ray diffraction pattern of Cs3K3HgF8. It was derived from a DFT-relaxed cell (PBE, Alexandria), using copper Kα.

Cell and atoms:
a = 7.8935 Å, b = 7.8935 Å, c = 20.3609 Å
α = 90.00°, β = 90.00°, γ = 120.00°
Space group R-3m (No. 166, hexagonal axes)
Asymmetric unit:
Cs1 0.0000 0.5000 0.0000 (multiplicity 9)
K1 0.0000 0.5000 0.5000 (multiplicity 9)
Hg1 0.0000 0.0000 0.5000 (multiplicity 3)
F1 0.0000 0.0000 0.2396 (multiplicity 6)
F2 0.0407 0.5204 0.2309 (multiplicity 18)

Largest 10 diffraction maxima, in order of rising 2θ, 10 to 90 degrees two-theta:
2θ = 13.66°, intensity 94, (1 0 1); 2θ = 25.46°, intensity 19, (0 1 5); 2θ = 26.12°, intensity 36, (1 1 3); 2θ = 26.26°, intensity 25, (0 0 6); 2θ = 27.53°, intensity 61, (2 0 2); 2θ = 31.53°, intensity 100, (0 2 4); 2θ = 44.38°, intensity 34, (2 0 8); 2θ = 45.99°, intensity 33, (2 2 0); 2θ = 53.73°, intensity 23, (2 2 6); 2θ = 56.83°, intensity 16, (4 0 4)

=====

The following is a theoretical powder X-ray diffraction pattern of Cs2KHg3F12. It was derived from a DFT-relaxed cell (PBE, Alexandria), using copper Kα.

Cell and atoms:
a = 8.5203 Å, b = 8.5203 Å, c = 18.2567 Å
α = 90.00°, β = 90.00°, γ = 120.00°
Space group R-3m (No. 166, hexagonal axes)
Asymmetric unit:
Cs1 0.0000 0.0000 0.1137 (multiplicity 6)
K1 0.0000 0.0000 0.5000 (multiplicity 3)
Hg1 0.0000 0.5000 0.0000 (multiplicity 9)
F1 0.0256 0.5128 0.8871 (multiplicity 18)
F2 0.0678 0.5339 0.3188 (multiplicity 18)

Largest 10 diffraction maxima, in order of rising 2θ, 10 to 90 degrees two-theta:
2θ = 14.56°, intensity 37, (0 0 3); 2θ = 22.91°, intensity 28, (1 0 4); 2θ = 24.62°, intensity 100, (0 2 1); 2θ = 25.52°, intensity 43, (1 1 3); 2θ = 26.05°, intensity 53, (2 0 2); 2θ = 27.25°, intensity 21, (0 1 5); 2θ = 42.44°, intensity 59, (2 2 0); 2θ = 46.81°, intensity 21, (2 0 8); 2θ = 49.67°, intensity 16, (4 0 1); 2θ = 63.31°, intensity 21, (2 2 9)